The following is a calculated powder diffraction line list of ZnAg2O4. It was derived from a PBE-relaxed structure, using Cu Kα (weighted mean of Kα1 and Kα2).

Largest 10 diffraction maxima, by angle, 5° ≤ 2θ ≤ 70°:
two_theta  I_rel
31.39  263
31.78  1000
33.83  323
35.14  283
38.66  208
39.74  320
42.85  346
59.24  198
59.71  254
69.22  198

Structural model:
abc: 5.521 5.521 9.972
angles: 90.00 90.00 147.41
Positions (direct):
Zn: 0.110 0.890 0.750
Zn: 0.890 0.110 0.250
Ag: 0.369 0.631 0.572
Ag: 0.369 0.631 0.928
Ag: 0.631 0.369 0.072
Ag: 0.631 0.369 0.428
O: 0.000 0.000 0.000
O: 0.000 0.000 0.500
O: 0.287 0.713 0.120
O: 0.287 0.713 0.380
O: 0.476 0.524 0.750
O: 0.524 0.476 0.250
O: 0.713 0.287 0.620
O: 0.713 0.287 0.880